Theoretical PXRD pattern of MnFeBP2 for a wavelength of 1.5418 Å, from a DFT-relaxed cell (GGA-PBE, Alexandria).
Kinematic intensities with the Lorentz-polarization factor, no thermal factor.

Crystal structure
a = 2.747 Å, b = 2.763 Å, c = 6.894 Å
α = 90.00°, β = 90.00°, γ = 90.00°
Atoms (fractional coordinates):
Mn1 0.000 0.000 0.000
Fe1 0.500 0.500 0.474
B1 0.000 0.000 0.342
P1 0.500 0.000 0.735
P2 0.500 0.500 0.158

Largest 12 diffraction maxima, by angle, 10° ≤ 2θ ≤ 90°:
d 3.447, I = 42; d 2.747, I = 17; d 2.565, I = 100; d 2.552, I = 78; d 1.948, I = 54; d 1.875, I = 33; d 1.767, I = 61; d 1.763, I = 57; d 1.724, I = 18; d 1.696, I = 72; d 1.382, I = 18; d 1.373, I = 18

Theoretical PXRD pattern of MnFe4B2P for a wavelength of 1.5418 Å, from a DFT-relaxed cell (GGA-PBE, Alexandria).
Kinematic intensities with the Lorentz-polarization factor, no thermal factor.

Crystal structure
a = 6.431 Å, b = 6.431 Å, c = 6.431 Å
α = 129.68°, β = 129.68°, γ = 73.92°
Atoms (fractional coordinates):
Mn1 0.000 0.000 0.000
Mn2 0.500 0.500 0.000
Fe1 0.032 0.532 0.842
Fe2 0.191 0.032 0.500
Fe3 0.309 0.809 0.842
Fe4 0.468 0.309 0.500
Fe5 0.532 0.691 0.500
Fe6 0.691 0.191 0.158
Fe7 0.809 0.968 0.500
Fe8 0.968 0.468 0.158
B1 0.118 0.382 0.500
B2 0.382 0.882 0.264
B3 0.618 0.118 0.736
B4 0.882 0.618 0.500
P1 0.250 0.250 0.000
P2 0.750 0.750 0.000

Largest 12 diffraction maxima, by angle, 10° ≤ 2θ ≤ 90°:
d 2.569, I = 16; d 2.379, I = 71; d 2.140, I = 41; d 1.990, I = 100; d 1.933, I = 22; d 1.872, I = 69; d 1.729, I = 51; d 1.315, I = 14; d 1.259, I = 20; d 1.237, I = 19; d 1.207, I = 9; d 1.152, I = 26